# 1
This entry pairs a crystal structure of RbMgBrF2 with its calculated XRD peak list. Radiation: Cu Kα, 1.54184 Å. Structure: a structure optimized by DFT (PBE).
Lines closer than 0.1° are merged.

The 10 most intense peaks (2θ from 10° to 90°), by angle:
h k l	two_theta	I (rel.)
0 0 2	22.53	36
1 1 1	25.53	34
0 4 0	26.40	28
0 4 1	28.76	41
1 3 1	31.76	97
1 1 2	32.31	100
0 4 2	34.98	37
2 0 0	44.61	27
1 3 3	45.77	25
0 4 4	53.86	31

Cell and atoms:
Lattice parameters (Å, degrees): 4.0627 13.5036 7.8928 90.00 90.00 90.00
Space group Cmcm (No. 63)
Inequivalent atoms, fractional coordinates:
Rb: 0.0000 0.2291 0.2500 (multiplicity 4)
Mg: 0.0000 0.5000 0.0000 (multiplicity 4)
Br: 0.0000 0.0345 0.7500 (multiplicity 4)
F: 0.0000 0.3640 0.5408 (multiplicity 8)



# 2
This entry pairs a crystal structure of AcTl5Se5 with its calculated XRD peak list. Radiation: Cu Kα, 1.54184 Å. Structure: a structure optimized by DFT (PBE).
Lines closer than 0.1° are merged.

The 10 most intense peaks (2θ from 10° to 90°), by angle:
h k l	two_theta	I (rel.)
1 1 -2	24.24	100
2 0 2	27.24	74
4 0 -2	27.43	74
0 2 0	29.46	64
6 0 0	38.93	27
2 0 -4	39.16	28
2 2 2	40.55	52
4 2 -2	40.69	52
6 2 0	49.57	28
2 2 -4	49.76	28

Cell and atoms:
Lattice parameters (Å, degrees): 14.5930 6.0637 9.2014 90.00 107.98 90.00
Space group C2/m (No. 12)
Inequivalent atoms, fractional coordinates:
Ac: 0.0000 0.0000 0.0000 (multiplicity 2)
Tl: 0.0000 0.0000 0.5000 (multiplicity 2)
Tl: 0.1766 0.5000 0.3216 (multiplicity 4)
Tl: 0.1823 0.5000 0.8553 (multiplicity 4)
Se: 0.0000 0.5000 0.0000 (multiplicity 2)
Se: 0.1602 0.0000 0.3220 (multiplicity 4)
Se: 0.1613 0.0000 0.8353 (multiplicity 4)



# 3
This entry pairs a crystal structure of CsCuBiSe2 with its calculated XRD peak list. Radiation: Cu Kα, 1.54184 Å. Structure: a structure optimized by DFT (PBE).
Lines closer than 0.1° are merged.

The 10 most intense peaks (2θ from 10° to 90°), by angle:
h k l	two_theta	I (rel.)
1 0 0	10.73	100
2 0 0	21.55	49
1 1 0	23.72	80
2 0 -2	28.12	62
2 0 2	30.11	57
1 1 -2	30.33	80
1 1 2	31.27	84
0 0 4	39.31	49
3 1 -2	42.96	61
3 1 2	45.05	42

Cell and atoms:
Lattice parameters (Å, degrees): 8.2658 4.2113 9.1875 90.00 93.84 90.00
Space group P2/c (No. 13)
Inequivalent atoms, fractional coordinates:
Cs: 0.0000 0.0925 0.2500 (multiplicity 2)
Cu: 0.5000 0.0000 0.0000 (multiplicity 2)
Bi: 0.5000 0.4916 0.7500 (multiplicity 2)
Se: 0.2788 0.3634 0.9873 (multiplicity 4)



# 4
This entry pairs a crystal structure of Sn2TePd8 with its calculated XRD peak list. Radiation: Cu Kα, 1.54184 Å. Structure: a structure optimized by DFT (PBE).
Lines closer than 0.1° are merged.

The 10 most intense peaks (2θ from 10° to 90°), by angle:
h k l	two_theta	I (rel.)
1 0 1	22.14	4
1 0 3	24.70	5
1 1 6	39.01	100
2 0 0	44.45	35
0 0 12	47.13	13
2 2 0	64.67	12
2 0 12	66.79	18
3 1 6	78.19	26
1 1 18	82.09	9
2 2 12	83.80	10

Cell and atoms:
Lattice parameters (Å, degrees): 4.0762 4.0762 23.1393 90.00 90.00 90.00
Space group I4/mmm (No. 139)
Inequivalent atoms, fractional coordinates:
Sn: 0.0000 0.0000 0.1665 (multiplicity 4)
Te: 0.0000 0.0000 0.5000 (multiplicity 2)
Pd: 0.0000 0.0000 0.3385 (multiplicity 4)
Pd: 0.0000 0.5000 0.0768 (multiplicity 8)
Pd: 0.0000 0.5000 0.2500 (multiplicity 4)



# 5
This entry pairs a crystal structure of TaSi4Mo2 with its calculated XRD peak list. Radiation: Cu Kα, 1.54184 Å. Structure: a structure optimized by DFT (PBE).
Lines closer than 0.1° are merged.

The 10 most intense peaks (2θ from 10° to 90°), by angle:
h k l	two_theta	I (rel.)
0 0 2	14.15	100
1 1 0	26.79	95
1 0 3	28.59	40
2 0 0	38.25	62
1 0 5	40.83	80
2 0 2	40.98	29
2 1 3	48.44	21
2 2 0	55.21	21
2 1 5	57.18	59
3 2 5	83.55	24

Cell and atoms:
Lattice parameters (Å, degrees): 4.7061 4.7061 12.5178 90.00 90.00 90.00
Space group I4/mmm (No. 139)
Inequivalent atoms, fractional coordinates:
Ta: 0.0000 0.0000 0.0000 (multiplicity 2)
Si: 0.0000 0.0000 0.2012 (multiplicity 4)
Si: 0.0000 0.5000 0.0000 (multiplicity 4)
Mo: 0.0000 0.0000 0.4033 (multiplicity 4)



# 6
This entry pairs a crystal structure of CsBaNpO6 with its calculated XRD peak list. Radiation: Cu Kα, 1.54184 Å. Structure: a structure optimized by DFT (PBE).
Lines closer than 0.1° are merged.

The 10 most intense peaks (2θ from 10° to 90°), by angle:
h k l	two_theta	I (rel.)
1 0 0	16.68	18
1 0 1	24.76	100
1 1 0	29.10	65
0 2 1	38.57	44
0 1 2	40.67	30
3 -1 1	49.04	31
2 0 2	50.79	20
3 0 0	51.59	13
3 -2 2	59.60	22
1 3 1	66.23	14

Cell and atoms:
Lattice parameters (Å, degrees): 6.1365 6.1365 4.8828 90.00 90.00 120.00
Space group P3 (No. 143)
Inequivalent atoms, fractional coordinates:
Cs: 0.0000 0.0000 0.0000 (multiplicity 1)
Ba: 0.6667 0.3333 0.4257 (multiplicity 1)
Np: 0.3333 0.6667 0.7062 (multiplicity 1)
O: 0.0122 0.5050 0.9107 (multiplicity 3)
O: 0.1787 0.8178 0.4840 (multiplicity 3)



# 7
This entry pairs a crystal structure of InGaBiPb with its calculated XRD peak list. Radiation: Cu Kα, 1.54184 Å. Structure: a structure optimized by DFT (PBE).
Lines closer than 0.1° are merged.

The 10 most intense peaks (2θ from 10° to 90°), by angle:
h k l	two_theta	I (rel.)
1 1 1	19.89	15
2 2 0	32.76	100
3 1 1	38.62	9
4 0 0	47.01	18
3 3 1	51.52	4
4 2 2	58.48	39
4 4 0	68.67	12
5 3 1	72.29	3
6 2 0	78.19	17
4 4 4	87.38	4

Cell and atoms:
Lattice parameters (Å, degrees): 7.7321 7.7321 7.7321 90.00 90.00 90.00
Space group F-43m (No. 216)
Inequivalent atoms, fractional coordinates:
In: 0.0000 0.0000 0.0000 (multiplicity 4)
Ga: 0.2500 0.2500 0.7500 (multiplicity 4)
Bi: 0.0000 0.0000 0.5000 (multiplicity 4)
Pb: 0.2500 0.2500 0.2500 (multiplicity 4)



# 8
This entry pairs a crystal structure of CsUTlSe3 with its calculated XRD peak list. Radiation: Cu Kα, 1.54184 Å. Structure: a structure optimized by DFT (PBE).
Lines closer than 0.1° are merged.

The 10 most intense peaks (2θ from 10° to 90°), by angle:
h k l	two_theta	I (rel.)
0 2 0	11.11	45
1 3 -1	22.34	58
2 0 0	22.53	46
0 0 2	24.03	38
1 3 1	24.60	100
2 0 -2	29.74	61
1 5 1	33.46	25
2 0 2	36.33	39
3 3 -1	38.03	35
1 3 -3	39.89	28

Cell and atoms:
Lattice parameters (Å, degrees): 8.0416 15.9271 7.5487 90.00 101.09 90.00
Space group C2/c (No. 15)
Inequivalent atoms, fractional coordinates:
Cs: 0.0000 0.2458 0.2500 (multiplicity 4)
U: 0.0000 0.4468 0.7500 (multiplicity 4)
Tl: 0.0000 0.0793 0.7500 (multiplicity 4)
Se: 0.0000 0.2795 0.7500 (multiplicity 4)
Se: 0.2224 0.4590 0.5051 (multiplicity 8)



# 9
This entry pairs a crystal structure of LiB5N with its calculated XRD peak list. Radiation: Cu Kα, 1.54184 Å. Structure: a structure optimized by DFT (PBE).
Lines closer than 0.1° are merged.

The 10 most intense peaks (2θ from 10° to 90°), by angle:
h k l	two_theta	I (rel.)
1 1 0	21.93	45
1 1 -1	25.90	28
1 1 1	26.03	29
0 0 2	27.67	100
2 0 0	28.45	95
2 0 -2	39.94	40
2 0 2	40.27	39
0 2 2	44.19	28
1 1 -3	47.79	27
1 1 3	48.01	28

Cell and atoms:
Lattice parameters (Å, degrees): 6.2743 5.3094 6.4491 90.00 90.45 90.00
Space group C2/c (No. 15)
Inequivalent atoms, fractional coordinates:
Li: 0.2500 0.2500 0.0000 (multiplicity 4)
B: 0.0000 0.0008 0.7500 (multiplicity 4)
B: 0.1069 0.2691 0.3580 (multiplicity 8)
B: 0.1067 0.2686 0.6422 (multiplicity 8)
N: 0.0000 0.5005 0.2500 (multiplicity 4)



# 10
This entry pairs a crystal structure of BaInHg4Bi2 with its calculated XRD peak list. Radiation: Cu Kα, 1.54184 Å. Structure: a structure optimized by DFT (PBE).
Lines closer than 0.1° are merged.

The 10 most intense peaks (2θ from 10° to 90°), by angle:
h k l	two_theta	I (rel.)
0 1 8	32.15	95
1 1 0	32.59	100
2 0 8	46.43	35
1 0 16	57.03	14
1 2 8	57.87	36
3 0 0	58.15	20
0 2 16	67.25	9
2 2 0	68.26	12
2 1 16	76.74	12
3 1 8	77.46	16

Cell and atoms:
Lattice parameters (Å, degrees): 5.4958 5.4958 27.4663 90.00 90.00 120.00
Space group R-3m (No. 166, hexagonal axes)
Inequivalent atoms, fractional coordinates:
Ba: 0.0000 0.0000 0.0000 (multiplicity 3)
In: 0.0000 0.0000 0.5000 (multiplicity 3)
Hg: 0.0000 0.0000 0.1290 (multiplicity 6)
Hg: 0.0000 0.0000 0.3848 (multiplicity 6)
Bi: 0.0000 0.0000 0.2464 (multiplicity 6)



# 11
This entry pairs a crystal structure of La2ErAgSe5 with its calculated XRD peak list. Radiation: Cu Kα, 1.54184 Å. Structure: a structure optimized by DFT (PBE).
Lines closer than 0.1° are merged.

The 10 most intense peaks (2θ from 10° to 90°), by angle:
h k l	two_theta	I (rel.)
0 2 3	23.48	22
1 3 0	26.04	31
1 1 3	30.55	100
0 6 1	31.23	53
1 5 2	36.19	61
1 3 4	38.92	14
1 5 3	39.69	20
2 0 0	43.11	40
0 2 6	44.37	18
2 6 1	54.18	22

Cell and atoms:
Lattice parameters (Å, degrees): 4.1972 17.6494 12.5826 90.00 90.00 90.00
Space group Cmc2_1 (No. 36)
Inequivalent atoms, fractional coordinates:
La: 0.0000 0.1104 0.0000 (multiplicity 4)
La: 0.0000 0.1251 0.6218 (multiplicity 4)
Er: 0.0000 0.1957 0.3239 (multiplicity 4)
Ag: 0.0000 0.4433 0.7715 (multiplicity 4)
Se: 0.0000 0.0468 0.3903 (multiplicity 4)
Se: 0.0000 0.2870 0.9795 (multiplicity 4)
Se: 0.0000 0.3050 0.6637 (multiplicity 4)
Se: 0.0000 0.3575 0.3152 (multiplicity 4)
Se: 0.0000 0.4972 0.0849 (multiplicity 4)



# 12
This entry pairs a crystal structure of Sc2InS4 with its calculated XRD peak list. Radiation: Cu Kα, 1.54184 Å. Structure: a structure optimized by DFT (PBE).
Lines closer than 0.1° are merged.

The 10 most intense peaks (2θ from 10° to 90°), by angle:
h k l	two_theta	I (rel.)
1 1 2	23.11	71
1 0 3	27.17	100
3 1 2	40.61	29
0 1 5	43.19	51
4 0 0	47.24	72
0 3 5	55.35	13
2 4 4	64.01	17
4 1 5	65.92	19
0 5 5	75.67	13
6 2 4	87.89	21

Cell and atoms:
Lattice parameters (Å, degrees): 7.6922 7.7006 10.8848 90.00 90.00 90.00
Space group Imma (No. 74)
Inequivalent atoms, fractional coordinates:
Sc: 0.0000 0.0000 0.0000 (multiplicity 4)
Sc: 0.2500 0.2500 0.2500 (multiplicity 4)
In: 0.0000 0.2500 0.6256 (multiplicity 4)
S: 0.0000 0.0231 0.2385 (multiplicity 8)
S: 0.2275 0.2500 0.0113 (multiplicity 8)



# 13
This entry pairs a crystal structure of Tl2InIO8 with its calculated XRD peak list. Radiation: Cu Kα, 1.54184 Å. Structure: a structure optimized by DFT (PBE).
Lines closer than 0.1° are merged.

The 10 most intense peaks (2θ from 10° to 90°), by angle:
h k l	two_theta	I (rel.)
1 0 -1	24.29	100
1 0 1	25.82	81
0 2 1	32.00	75
1 2 0	32.14	82
0 0 2	35.50	27
2 0 0	36.00	23
1 2 -2	47.76	32
2 2 -1	48.06	35
1 2 2	49.49	28
2 0 -2	49.78	44

Cell and atoms:
Lattice parameters (Å, degrees): 4.9989 6.7140 5.0664 90.00 93.44 90.00
Space group P2/m (No. 10)
Inequivalent atoms, fractional coordinates:
Tl: 0.0000 0.2493 0.0000 (multiplicity 2)
In: 0.5000 0.0000 0.5000 (multiplicity 1)
I: 0.5000 0.5000 0.5000 (multiplicity 1)
O: 0.2181 0.0000 0.1858 (multiplicity 2)
O: 0.2434 0.5000 0.1944 (multiplicity 2)
O: 0.3071 0.2882 0.6563 (multiplicity 4)